Simulated XRD peak list of Na2Hg7Pb for CuKα, from a DFT-relaxed cell (GGA-PBE, Alexandria).

Principal peaks in the range 2θ from 10° to 90°, sorted by position:
21.51°, d = 4.131 Å, I = 20
24.57°, d = 3.623 Å, I = 22
28.99°, d = 3.080 Å, I = 65
34.31°, d = 2.613 Å, I = 84
35.72°, d = 2.514 Å, I = 100
46.64°, d = 1.948 Å, I = 25
50.37°, d = 1.812 Å, I = 29
53.39°, d = 1.716 Å, I = 21
60.10°, d = 1.539 Å, I = 20
63.27°, d = 1.470 Å, I = 29

Crystal structure
abc: 5.027 5.027 13.070
angles: 90.00 90.00 120.00
Fractional positions:
Na: 0.000 0.000 0.000
Na: 0.333 0.667 0.688
Hg: 0.000 0.000 0.233
Hg: 0.000 0.000 0.524
Hg: 0.000 0.000 0.770
Hg: 0.333 0.667 0.118
Hg: 0.333 0.667 0.423
Hg: 0.667 0.333 0.608
Hg: 0.667 0.333 0.874
Pb: 0.667 0.333 0.332


Simulated XRD peak list of K4ClOF for CuKα, from a DFT-relaxed cell (GGA-PBE, Alexandria).

Principal peaks in the range 2θ from 10° to 90°, sorted by position:
11.66°, d = 7.592 Å, I = 27
24.57°, d = 3.623 Å, I = 25
27.27°, d = 3.270 Å, I = 100
34.21°, d = 2.621 Å, I = 81
35.02°, d = 2.562 Å, I = 92
35.47°, d = 2.531 Å, I = 36
50.37°, d = 1.812 Å, I = 28
50.70°, d = 1.801 Å, I = 45
62.31°, d = 1.490 Å, I = 26
63.11°, d = 1.473 Å, I = 21

Crystal structure
abc: 5.124 5.124 15.185
angles: 90.00 90.00 90.00
Fractional positions:
K: 0.000 0.000 0.000
K: 0.000 0.000 0.337
K: 0.000 0.500 0.178
K: 0.000 0.500 0.678
K: 0.500 0.000 0.178
K: 0.500 0.000 0.678
K: 0.500 0.500 0.500
K: 0.500 0.500 0.837
Cl: 0.000 0.000 0.534
Cl: 0.500 0.500 0.034
O: 0.000 0.000 0.173
O: 0.500 0.500 0.673
F: 0.000 0.000 0.825
F: 0.500 0.500 0.325


Simulated XRD peak list of ZrZnNi6 for CuKα, from a DFT-relaxed cell (GGA-PBE, Alexandria).

Principal peaks in the range 2θ from 10° to 90°, sorted by position:
42.65°, d = 2.120 Å, I = 100
49.47°, d = 1.842 Å, I = 32
50.03°, d = 1.823 Å, I = 15
72.47°, d = 1.304 Å, I = 5
72.67°, d = 1.301 Å, I = 5
73.01°, d = 1.296 Å, I = 18
87.92°, d = 1.111 Å, I = 11
88.06°, d = 1.109 Å, I = 10
88.81°, d = 1.102 Å, I = 5
88.86°, d = 1.101 Å, I = 5

Crystal structure
abc: 6.365 6.365 10.409
angles: 90.00 90.00 110.10
Fractional positions:
Zr: 0.000 0.000 0.245
Zr: 0.000 0.000 0.755
Zr: 0.244 0.756 0.500
Zr: 0.756 0.244 0.500
Zn: 0.241 0.759 0.000
Zn: 0.500 0.500 0.245
Zn: 0.500 0.500 0.755
Zn: 0.759 0.241 0.000
Ni: 0.000 0.000 0.000
Ni: 0.000 0.000 0.500
Ni: 0.132 0.387 0.120
Ni: 0.132 0.387 0.880
Ni: 0.136 0.382 0.370
Ni: 0.136 0.382 0.630
Ni: 0.252 0.748 0.243
Ni: 0.252 0.748 0.757
Ni: 0.382 0.136 0.370
Ni: 0.382 0.136 0.630
Ni: 0.387 0.132 0.120
Ni: 0.387 0.132 0.880
Ni: 0.500 0.500 0.000
Ni: 0.500 0.500 0.500
Ni: 0.613 0.868 0.120
Ni: 0.613 0.868 0.880
Ni: 0.618 0.864 0.370
Ni: 0.618 0.864 0.630
Ni: 0.748 0.252 0.243
Ni: 0.748 0.252 0.757
Ni: 0.864 0.618 0.370
Ni: 0.864 0.618 0.630
Ni: 0.868 0.613 0.120
Ni: 0.868 0.613 0.880